# 1
For Ca3In3NiHg2, a PBE-relaxed structure gives the simulated powder diffractogram in this record (Cu Kα).
Kinematic intensities with the Lorentz-polarization factor, no thermal factor.

Peak list (8 most intense, 2θ from 15° to 90°, low angle first)
2theta, I_rel
21.86, 73
23.11, 61
32.02, 95
33.68, 76
34.53, 86
38.35, 60
41.24, 100
62.37, 63

Structural model:
Unit cell a=8.1300 b=8.1300 c=3.8486 alpha=90.00 beta=90.00 gamma=120.00
Element x y z (fractional)
1 Ca 0.0000 0.6029 0.0000
2 Ca 0.3971 0.3971 0.0000
3 Ca 0.6029 0.0000 0.0000
4 In 0.0000 0.2392 0.5000
5 In 0.2392 0.0000 0.5000
6 In 0.7608 0.7608 0.5000
7 Ni 0.0000 0.0000 0.0000
8 Hg 0.3333 0.6667 0.5000
9 Hg 0.6667 0.3333 0.5000

=====

# 2
For Ac8CoRh4, a PBE-relaxed structure gives the simulated powder diffractogram in this record (Cu Kα).
Kinematic intensities with the Lorentz-polarization factor, no thermal factor.

Peak list (8 most intense, 2θ from 15° to 90°, low angle first)
2theta, I_rel
26.08, 47
26.39, 100
27.41, 61
28.04, 66
28.20, 92
33.77, 43
41.64, 43
42.64, 73

Structural model:
Unit cell a=10.5929 b=10.5929 c=13.9028 alpha=127.92 beta=127.92 gamma=23.63
Element x y z (fractional)
1 Ac 0.0000 0.0000 0.0000
2 Ac 0.0335 0.0335 0.7508
3 Ac 0.2838 0.2838 0.9135
4 Ac 0.3605 0.3605 0.4169
5 Ac 0.6044 0.6044 0.5839
6 Ac 0.6495 0.6495 0.3298
7 Ac 0.6943 0.6943 0.0829
8 Ac 0.9449 0.9449 0.2436
9 Co 0.5337 0.5337 0.8811
10 Rh 0.1849 0.1849 0.2301
11 Rh 0.4656 0.4656 0.1209
12 Rh 0.6641 0.6641 0.8397
13 Rh 0.9781 0.9781 0.4872

=====

# 3
For AlHgSeO6, a PBE-relaxed structure gives the simulated powder diffractogram in this record (Cu Kα).
Kinematic intensities with the Lorentz-polarization factor, no thermal factor.

Peak list (8 most intense, 2θ from 15° to 90°, low angle first)
2theta, I_rel
20.55, 28
27.71, 100
35.99, 25
42.94, 12
46.02, 23
52.79, 29
59.76, 23
83.00, 10

Structural model:
Unit cell a=4.9911 b=4.9911 c=4.8236 alpha=90.00 beta=90.00 gamma=120.00
Element x y z (fractional)
1 Al 0.0000 0.0000 0.0000
2 Hg 0.3333 0.6667 0.5000
3 Se 0.6667 0.3333 0.0000
4 O 0.3450 0.0486 0.2088
5 O 0.3450 0.2964 0.7912
6 O 0.7036 0.0486 0.7912
7 O 0.7036 0.6550 0.2088
8 O 0.9514 0.2964 0.2088
9 O 0.9514 0.6550 0.7912

=====

# 4
For Rb2NaGaBr6, a PBE-relaxed structure gives the simulated powder diffractogram in this record (Cu Kα).
Kinematic intensities with the Lorentz-polarization factor, no thermal factor.

Peak list (8 most intense, 2θ from 15° to 90°, low angle first)
2theta, I_rel
24.96, 17
26.99, 12
29.80, 100
37.09, 43
47.08, 19
47.68, 25
57.24, 14
77.62, 12

Structural model:
Unit cell a=7.6300 b=7.6300 c=7.1346 alpha=90.00 beta=90.00 gamma=120.00
Element x y z (fractional)
1 Rb 0.3333 0.6667 0.1761
2 Rb 0.6667 0.3333 0.8239
3 Na 0.0000 0.0000 0.5000
4 Ga 0.0000 0.0000 0.0000
5 Br 0.1594 0.3189 0.7887
6 Br 0.1594 0.8406 0.7887
7 Br 0.3189 0.1594 0.2113
8 Br 0.6811 0.8406 0.7887
9 Br 0.8406 0.1594 0.2113
10 Br 0.8406 0.6811 0.2113